Record 1
Structure and simulated powder diffraction line list of Lu2Mn12P7 (the GGA-PBE geometry in Alexandria; Cu Kα, 1.54184 Å).

The 8 most intense peaks (2θ from 10° to 90°), low angle first:
two_theta, intensity, h k l
27.32, 14, 1 0 1
33.58, 18, 3 0 0
38.98, 100, 1 2 1
48.23, 11, 1 3 1
51.10, 13, 0 0 2
52.35, 16, 4 1 0
67.18, 12, 4 2 1
76.17, 12, 4 1 2

Cell and atoms:
a = 9.2481 Å, b = 9.2481 Å, c = 3.5750 Å
α = 90.00°, β = 90.00°, γ = 120.00°
Space group P-6 (No. 174)
Unique sites:
Lu (0.0000, 0.0000, 0.0000)
Lu (0.3333, 0.6667, 0.5000)
Mn (0.0609, 0.7719, 0.5000)
Mn (0.0916, 0.3822, 0.0000)
Mn (0.3895, 0.2143, 0.0000)
Mn (0.5420, 0.1060, 0.5000)
P (0.0801, 0.6246, 0.0000)
P (0.2565, 0.0533, 0.5000)
P (0.6667, 0.3333, 0.0000)


Record 2
Structure and simulated powder diffraction line list of RbPr2SeO5 (the GGA-PBE geometry in Alexandria; Cu Kα, 1.54184 Å).

The 8 most intense peaks (2θ from 10° to 90°), low angle first:
two_theta, intensity, h k l
14.38, 26, 0 0 2
29.00, 40, 0 0 4
29.46, 100, 2 0 2
29.58, 52, 2 1 1
36.19, 61, 2 1 3
36.48, 22, 2 2 0
47.03, 31, 2 1 5
54.82, 28, 4 1 1

Cell and atoms:
a = 6.966 Å, b = 6.966 Å, c = 12.317 Å
α = 90.00°, β = 90.00°, γ = 90.00°
Space group I4/mcm (No. 140)
Unique sites:
Rb (0.000, 0.000, 0.250)
Pr (0.176, 0.324, 0.000)
Se (0.000, 0.500, 0.250)
O (0.000, 0.000, 0.000)
O (0.132, 0.368, 0.381)


Record 3
Structure and simulated powder diffraction line list of Ho14TmIn (the GGA-PBE geometry in Alexandria; Cu Kα, 1.54184 Å).

The 8 most intense peaks (2θ from 10° to 90°), low angle first:
two_theta, intensity, h k l
31.31, 100, 2 0 2
36.19, 17, 0 0 4
36.37, 34, 2 2 0
52.25, 24, 2 2 4
62.06, 14, 2 0 6
62.31, 28, 4 2 2
65.33, 12, 4 0 4
85.48, 12, 4 2 6

Cell and atoms:
a = 6.986 Å, b = 6.986 Å, c = 9.929 Å
α = 90.00°, β = 90.00°, γ = 90.00°
Space group P4/mmm (No. 123)
Unique sites:
Ho (0.000, 0.000, 0.000)
Ho (0.000, 0.500, 0.000)
Ho (0.000, 0.500, 0.500)
Ho (0.250, 0.250, 0.252)
Ho (0.500, 0.500, 0.000)
Tm (0.000, 0.000, 0.500)
In (0.500, 0.500, 0.500)


Record 4
Structure and simulated powder diffraction line list of La3Nd3ScTe8 (the GGA-PBE geometry in Alexandria; Cu Kα, 1.54184 Å).

The 8 most intense peaks (2θ from 10° to 90°), low angle first:
two_theta, intensity, h k l
27.99, 100, 0 2 4
39.87, 38, 2 0 8
40.12, 38, 2 2 0
49.62, 20, 4 0 4
57.84, 12, 0 4 8
65.28, 17, 2 2 12
65.64, 17, 2 4 4
72.72, 12, 4 2 8

Cell and atoms:
a = 8.9908 Å, b = 8.9908 Å, c = 22.2231 Å
α = 90.00°, β = 90.00°, γ = 120.00°
Space group R-3m (No. 166, hexagonal axes)
Unique sites:
La (0.0000, 0.5000, 0.0000)
Nd (0.0000, 0.5000, 0.5000)
Sc (0.0000, 0.0000, 0.5000)
Te (0.0000, 0.0000, 0.2485)
Te (0.0122, 0.5061, 0.2455)


What did the third record say?
Structure and simulated powder diffraction line list of Ho14TmIn (the GGA-PBE geometry in Alexandria; Cu Kα, 1.54184 Å).

The 8 most intense peaks (2θ from 10° to 90°), low angle first:
two_theta, intensity, h k l
31.31, 100, 2 0 2
36.19, 17, 0 0 4
36.37, 34, 2 2 0
52.25, 24, 2 2 4
62.06, 14, 2 0 6
62.31, 28, 4 2 2
65.33, 12, 4 0 4
85.48, 12, 4 2 6

Cell and atoms:
a = 6.986 Å, b = 6.986 Å, c = 9.929 Å
α = 90.00°, β = 90.00°, γ = 90.00°
Space group P4/mmm (No. 123)
Unique sites:
Ho (0.000, 0.000, 0.000)
Ho (0.000, 0.500, 0.000)
Ho (0.000, 0.500, 0.500)
Ho (0.250, 0.250, 0.252)
Ho (0.500, 0.500, 0.000)
Tm (0.000, 0.000, 0.500)
In (0.500, 0.500, 0.500)